# 1
CsRbAg4F6: calculated X-ray powder pattern (a wavelength of 1.5418 Å), based on the PBE geometry in Alexandria.
Peak positions follow from Bragg's law for the DFT cell and can differ from measured ones.

Peak list (6 most intense, 2θ from 10° to 90°, most intense first)
2θ = 24.2°, I = 100
2θ = 25.1°, I = 64
2θ = 10.4°, I = 46
2θ = 49.6°, I = 32
2θ = 26.4°, I = 29
2θ = 43.1°, I = 29

a = 7.3532 Å, b = 7.3532 Å, c = 8.5462 Å
α = 90.00°, β = 90.00°, γ = 120.00°
Fractional positions:
Cs (0.0000, 0.0000, 0.0000)
Rb (0.0000, 0.0000, 0.5000)
Ag (0.3333, 0.6667, 0.1665)
Ag (0.3333, 0.6667, 0.8335)
Ag (0.6667, 0.3333, 0.1665)
Ag (0.6667, 0.3333, 0.8335)
F (0.0000, 0.5000, 0.2348)
F (0.0000, 0.5000, 0.7652)
F (0.5000, 0.0000, 0.2348)
F (0.5000, 0.0000, 0.7652)
F (0.5000, 0.5000, 0.2348)
F (0.5000, 0.5000, 0.7652)


# 2
CsSiAg2F8: calculated X-ray powder pattern (a wavelength of 1.5418 Å), based on the PBE geometry in Alexandria.
Peak positions follow from Bragg's law for the DFT cell and can differ from measured ones.

Peak list (6 most intense, 2θ from 10° to 90°, most intense first)
2θ = 21.2°, I = 100
2θ = 28.7°, I = 96
2θ = 22.4°, I = 64
2θ = 26.8°, I = 61
2θ = 32.2°, I = 58
2θ = 29.9°, I = 56

a = 5.2594 Å, b = 5.3074 Å, c = 7.7220 Å
α = 78.46°, β = 85.28°, γ = 72.63°
Fractional positions:
Cs (0.0000, 0.0000, 0.0000)
Si (0.0000, 0.0000, 0.5000)
Ag (0.4281, 0.4127, 0.2370)
Ag (0.5719, 0.5873, 0.7630)
F (0.0981, 0.2169, 0.3269)
F (0.2284, 0.7300, 0.4297)
F (0.2354, 0.0199, 0.6318)
F (0.3688, 0.3515, 0.9585)
F (0.6312, 0.6485, 0.0415)
F (0.7646, 0.9801, 0.3682)
F (0.7716, 0.2700, 0.5703)
F (0.9019, 0.7831, 0.6731)


# 3
CsAg2TeF8: calculated X-ray powder pattern (a wavelength of 1.5418 Å), based on the PBE geometry in Alexandria.
Peak positions follow from Bragg's law for the DFT cell and can differ from measured ones.

Peak list (6 most intense, 2θ from 10° to 90°, most intense first)
2θ = 22.2°, I = 100
2θ = 31.7°, I = 43
2θ = 31.6°, I = 22
2θ = 51.2°, I = 20
2θ = 45.4°, I = 17
2θ = 56.5°, I = 17

a = 9.8178 Å, b = 9.8178 Å, c = 9.8178 Å
α = 33.40°, β = 33.40°, γ = 33.40°
Fractional positions:
Cs (0.0000, 0.0000, 0.0000)
Ag (0.2695, 0.2695, 0.2695)
Ag (0.7305, 0.7305, 0.7305)
Te (0.5000, 0.5000, 0.5000)
F (0.1269, 0.6225, 0.6225)
F (0.3453, 0.3453, 0.3453)
F (0.3775, 0.3775, 0.8731)
F (0.3775, 0.8731, 0.3775)
F (0.6225, 0.1269, 0.6225)
F (0.6225, 0.6225, 0.1269)
F (0.6547, 0.6547, 0.6547)
F (0.8731, 0.3775, 0.3775)


# 4
CsYAgF6: calculated X-ray powder pattern (a wavelength of 1.5418 Å), based on the PBE geometry in Alexandria.
Peak positions follow from Bragg's law for the DFT cell and can differ from measured ones.

Peak list (6 most intense, 2θ from 10° to 90°, most intense first)
2θ = 25.3°, I = 100
2θ = 24.8°, I = 73
2θ = 27.2°, I = 73
2θ = 26.1°, I = 62
2θ = 12.9°, I = 42
2θ = 39.5°, I = 41

a = 8.2745 Å, b = 8.2745 Å, c = 8.2745 Å
α = 123.28°, β = 119.32°, γ = 87.80°
Fractional positions:
Cs (0.3196, 0.0696, 0.2500)
Cs (0.6804, 0.9304, 0.7500)
Y (0.0000, 0.5000, 0.5000)
Y (0.5000, 0.5000, 0.0000)
Ag (0.0000, 0.0000, 0.5000)
Ag (0.0000, 0.5000, 0.0000)
F (0.0517, 0.8017, 0.2500)
F (0.0610, 0.4036, 0.2365)
F (0.0610, 0.8244, 0.6574)
F (0.3109, 0.5609, 0.7500)
F (0.3330, 0.1756, 0.7365)
F (0.3330, 0.5964, 0.1574)
F (0.6670, 0.4036, 0.8426)
F (0.6670, 0.8244, 0.2635)
F (0.6891, 0.4391, 0.2500)
F (0.9390, 0.1756, 0.3426)
F (0.9390, 0.5964, 0.7635)
F (0.9483, 0.1983, 0.7500)


# 5
Cs2ZnAgF6: calculated X-ray powder pattern (a wavelength of 1.5418 Å), based on the PBE geometry in Alexandria.
Peak positions follow from Bragg's law for the DFT cell and can differ from measured ones.

Peak list (6 most intense, 2θ from 10° to 90°, most intense first)
2θ = 28.7°, I = 100
2θ = 50.8°, I = 40
2θ = 41.0°, I = 35
2θ = 59.4°, I = 22
2θ = 81.9°, I = 21
2θ = 67.2°, I = 18

a = 6.2265 Å, b = 6.2265 Å, c = 6.2265 Å
α = 60.00°, β = 60.00°, γ = 60.00°
Fractional positions:
Cs (0.2500, 0.2500, 0.2500)
Cs (0.7500, 0.7500, 0.7500)
Zn (0.0000, 0.0000, 0.0000)
Ag (0.5000, 0.5000, 0.5000)
F (0.2349, 0.2349, 0.7651)
F (0.2349, 0.7651, 0.2349)
F (0.2349, 0.7651, 0.7651)
F (0.7651, 0.2349, 0.2349)
F (0.7651, 0.2349, 0.7651)
F (0.7651, 0.7651, 0.2349)


# 6
CsZnAg2F8: calculated X-ray powder pattern (a wavelength of 1.5418 Å), based on the PBE geometry in Alexandria.
Peak positions follow from Bragg's law for the DFT cell and can differ from measured ones.

Peak list (6 most intense, 2θ from 10° to 90°, most intense first)
2θ = 31.1°, I = 100
2θ = 24.2°, I = 87
2θ = 12.1°, I = 56
2θ = 39.9°, I = 47
2θ = 45.2°, I = 41
2θ = 27.1°, I = 40

a = 8.0221 Å, b = 8.0221 Å, c = 8.0221 Å
α = 42.01°, β = 42.01°, γ = 42.01°
Fractional positions:
Cs (0.0000, 0.0000, 0.0000)
Zn (0.5000, 0.5000, 0.5000)
Ag (0.2011, 0.2011, 0.2011)
Ag (0.7989, 0.7989, 0.7989)
F (0.1762, 0.7986, 0.3921)
F (0.2014, 0.6079, 0.8238)
F (0.2945, 0.2945, 0.2945)
F (0.3921, 0.1762, 0.7986)
F (0.6079, 0.8238, 0.2014)
F (0.7055, 0.7055, 0.7055)
F (0.7986, 0.3921, 0.1762)
F (0.8238, 0.2014, 0.6079)